[1]
CaPmNi2: computed powder diffraction line list (Cu Ka), based on a DFT-relaxed cell (PBE, Alexandria).

Principal peaks in the range 10° ≤ 2θ ≤ 90°, in order of rising 2θ:
d/Å  2θ/deg  I (rel.)
5.325  16.6  45
2.757  32.5  100
2.644  33.9  52
2.235  40.3  30
2.224  40.6  70
2.057  44.0  25
1.981  45.8  23
1.629  56.5  24
1.624  56.7  23
1.258  75.6  19

Atomic structure:
```
data_CaPmNi2
_cell_length_a 4.115
_cell_length_b 5.682
_cell_length_c 5.682
_cell_angle_alpha 40.82
_cell_angle_beta 90.00
_cell_angle_gamma 90.00
_space_group_name_H-M_alt 'P 1'
_space_group_IT_number 1
_space_group_name_Hall 'P 1'
loop_
_atom_site_label
_atom_site_type_symbol
_atom_site_fract_x
_atom_site_fract_y
_atom_site_fract_z
_atom_site_occupancy
Ca1 Ca 0.000 0.000 0.000 1
Pm1 Pm 0.500 0.719 0.719 1
Ni1 Ni 0.000 0.291 0.291 1
Ni2 Ni 0.500 0.415 0.415 1
```

=====

[2]
Ca3PrNi2: computed powder diffraction line list (Cu Ka), based on a DFT-relaxed cell (PBE, Alexandria).

Principal peaks in the range 10° ≤ 2θ ≤ 90°, in order of rising 2θ:
d/Å  2θ/deg  I (rel.)
8.324  10.6  27
7.247  12.2  100
3.146  28.4  19
3.087  28.9  36
2.871  31.2  38
2.842  31.5  28
2.377  37.9  21
2.265  39.8  21
2.252  40.0  24
2.007  45.2  20

Atomic structure:
```
data_Ca3PrNi2
_cell_length_a 8.773
_cell_length_b 8.773
_cell_length_c 11.799
_cell_angle_alpha 121.00
_cell_angle_beta 121.00
_cell_angle_gamma 26.45
_space_group_name_H-M_alt 'P 1'
_space_group_IT_number 1
_space_group_name_Hall 'P 1'
loop_
_atom_site_label
_atom_site_type_symbol
_atom_site_fract_x
_atom_site_fract_y
_atom_site_fract_z
_atom_site_occupancy
Ca1 Ca 0.087 0.087 0.441 1
Ca2 Ca 0.089 0.089 0.942 1
Ca3 Ca 0.343 0.343 0.750 1
Ca4 Ca 0.657 0.657 0.250 1
Ca5 Ca 0.911 0.911 0.058 1
Ca6 Ca 0.913 0.913 0.559 1
Pr1 Pr 0.332 0.332 0.247 1
Pr2 Pr 0.668 0.668 0.753 1
Ni1 Ni 0.262 0.262 0.949 1
Ni2 Ni 0.265 0.265 0.455 1
Ni3 Ni 0.735 0.735 0.545 1
Ni4 Ni 0.738 0.738 0.051 1
```

=====

[3]
CaPr2Ni: computed powder diffraction line list (Cu Ka), based on a DFT-relaxed cell (PBE, Alexandria).

Principal peaks in the range 10° ≤ 2θ ≤ 90°, in order of rising 2θ:
d/Å  2θ/deg  I (rel.)
5.293  16.7  51
3.721  23.9  41
2.962  30.2  67
2.896  30.9  100
2.855  31.3  58
2.740  32.7  53
2.466  36.4  54
2.453  36.6  99
1.632  56.4  49
1.615  57.0  53

Atomic structure:
```
data_CaPr2Ni
_cell_length_a 6.589
_cell_length_b 6.589
_cell_length_c 9.784
_cell_angle_alpha 90.00
_cell_angle_beta 90.00
_cell_angle_gamma 145.61
_space_group_name_H-M_alt 'P 1'
_space_group_IT_number 1
_space_group_name_Hall 'P 1'
loop_
_atom_site_label
_atom_site_type_symbol
_atom_site_fract_x
_atom_site_fract_y
_atom_site_fract_z
_atom_site_occupancy
Ca1 Ca 0.083 0.917 0.750 1
Ca2 Ca 0.917 0.083 0.250 1
Pr1 Pr 0.360 0.640 0.570 1
Pr2 Pr 0.360 0.640 0.930 1
Pr3 Pr 0.640 0.360 0.070 1
Pr4 Pr 0.640 0.360 0.430 1
Ni1 Ni 0.228 0.772 0.250 1
Ni2 Ni 0.772 0.228 0.750 1
```

=====

[4]
Ca2Si2NiPt5: computed powder diffraction line list (Cu Ka), based on a DFT-relaxed cell (PBE, Alexandria).

Principal peaks in the range 10° ≤ 2θ ≤ 90°, in order of rising 2θ:
d/Å  2θ/deg  I (rel.)
3.490  25.5  66
3.094  28.9  30
2.713  33.0  26
2.457  36.6  22
2.373  37.9  56
2.315  38.9  100
2.142  42.2  45
1.962  46.3  38
1.745  52.4  23
1.286  73.7  26

Atomic structure:
```
data_Ca2Si2NiPt5
_cell_length_a 9.783
_cell_length_b 9.783
_cell_length_c 3.490
_cell_angle_alpha 90.00
_cell_angle_beta 90.00
_cell_angle_gamma 90.00
_space_group_name_H-M_alt 'P 1'
_space_group_IT_number 1
_space_group_name_Hall 'P 1'
loop_
_atom_site_label
_atom_site_type_symbol
_atom_site_fract_x
_atom_site_fract_y
_atom_site_fract_z
_atom_site_occupancy
Ca1 Ca 0.174 0.326 0.000 1
Ca2 Ca 0.326 0.826 0.000 1
Ca3 Ca 0.674 0.174 0.000 1
Ca4 Ca 0.826 0.674 0.000 1
Si1 Si 0.128 0.628 0.000 1
Si2 Si 0.372 0.128 0.000 1
Si3 Si 0.628 0.872 0.000 1
Si4 Si 0.872 0.372 0.000 1
Ni1 Ni 0.000 0.000 0.000 1
Ni2 Ni 0.500 0.500 0.000 1
Pt1 Pt 0.000 0.500 0.500 1
Pt2 Pt 0.064 0.798 0.500 1
Pt3 Pt 0.202 0.064 0.500 1
Pt4 Pt 0.298 0.564 0.500 1
Pt5 Pt 0.436 0.298 0.500 1
Pt6 Pt 0.500 0.000 0.500 1
Pt7 Pt 0.564 0.702 0.500 1
Pt8 Pt 0.702 0.436 0.500 1
Pt9 Pt 0.798 0.936 0.500 1
Pt10 Pt 0.936 0.202 0.500 1
```

=====

[5]
Ca2ZnNi2Pt5: computed powder diffraction line list (Cu Ka), based on a DFT-relaxed cell (PBE, Alexandria).

Principal peaks in the range 10° ≤ 2θ ≤ 90°, in order of rising 2θ:
d/Å  2θ/deg  I (rel.)
4.148  21.4  29
3.889  22.9  59
2.507  35.8  22
2.342  38.4  100
2.250  40.1  43
2.146  42.1  52
2.074  43.6  16
1.946  46.7  63
1.471  63.2  23
1.243  76.7  20

Atomic structure:
```
data_Ca2ZnNi2Pt5
_cell_length_a 9.275
_cell_length_b 9.275
_cell_length_c 3.889
_cell_angle_alpha 90.00
_cell_angle_beta 90.00
_cell_angle_gamma 90.00
_space_group_name_H-M_alt 'P 1'
_space_group_IT_number 1
_space_group_name_Hall 'P 1'
loop_
_atom_site_label
_atom_site_type_symbol
_atom_site_fract_x
_atom_site_fract_y
_atom_site_fract_z
_atom_site_occupancy
Ca1 Ca 0.176 0.324 0.000 1
Ca2 Ca 0.324 0.824 0.000 1
Ca3 Ca 0.676 0.176 0.000 1
Ca4 Ca 0.824 0.676 0.000 1
Zn1 Zn 0.000 0.000 0.000 1
Zn2 Zn 0.500 0.500 0.000 1
Ni1 Ni 0.123 0.623 0.000 1
Ni2 Ni 0.377 0.123 0.000 1
Ni3 Ni 0.623 0.877 0.000 1
Ni4 Ni 0.877 0.377 0.000 1
Pt1 Pt 0.000 0.500 0.500 1
Pt2 Pt 0.065 0.795 0.500 1
Pt3 Pt 0.205 0.065 0.500 1
Pt4 Pt 0.295 0.565 0.500 1
Pt5 Pt 0.435 0.295 0.500 1
Pt6 Pt 0.500 0.000 0.500 1
Pt7 Pt 0.565 0.705 0.500 1
Pt8 Pt 0.705 0.435 0.500 1
Pt9 Pt 0.795 0.935 0.500 1
Pt10 Pt 0.935 0.205 0.500 1
```

=====

[6]
CaPuNi: computed powder diffraction line list (Cu Ka), based on a DFT-relaxed cell (PBE, Alexandria).

Principal peaks in the range 10° ≤ 2θ ≤ 90°, in order of rising 2θ:
d/Å  2θ/deg  I (rel.)
6.617  13.4  100
3.609  24.7  30
3.537  25.2  38
2.787  32.1  85
2.765  32.4  28
2.682  33.4  80
2.453  36.6  37
2.389  37.7  61
2.116  42.7  31
1.970  46.1  35

Atomic structure:
```
data_CaPuNi
_cell_length_a 5.906
_cell_length_b 5.906
_cell_length_c 8.175
_cell_angle_alpha 123.61
_cell_angle_beta 123.61
_cell_angle_gamma 38.95
_space_group_name_H-M_alt 'P 1'
_space_group_IT_number 1
_space_group_name_Hall 'P 1'
loop_
_atom_site_label
_atom_site_type_symbol
_atom_site_fract_x
_atom_site_fract_y
_atom_site_fract_z
_atom_site_occupancy
Ca1 Ca 0.085 0.085 0.368 1
Ca2 Ca 0.915 0.915 0.632 1
Pu1 Pu 0.324 0.324 0.928 1
Pu2 Pu 0.676 0.676 0.072 1
Ni1 Ni 0.371 0.371 0.327 1
Ni2 Ni 0.629 0.629 0.673 1
```

=====

[7]
RbCa2Ni2: computed powder diffraction line list (Cu Ka), based on a DFT-relaxed cell (PBE, Alexandria).

Principal peaks in the range 10° ≤ 2θ ≤ 90°, in order of rising 2θ:
d/Å  2θ/deg  I (rel.)
4.156  21.4  35
3.955  22.5  29
2.865  31.2  67
2.709  33.1  100
2.629  34.1  68
1.992  45.5  39
1.978  45.9  22
1.580  58.4  27
1.507  61.5  29
1.258  75.6  20

Atomic structure:
```
data_RbCa2Ni2
_cell_length_a 8.312
_cell_length_b 8.312
_cell_length_c 3.955
_cell_angle_alpha 90.00
_cell_angle_beta 90.00
_cell_angle_gamma 90.00
_space_group_name_H-M_alt 'P 1'
_space_group_IT_number 1
_space_group_name_Hall 'P 1'
loop_
_atom_site_label
_atom_site_type_symbol
_atom_site_fract_x
_atom_site_fract_y
_atom_site_fract_z
_atom_site_occupancy
Rb1 Rb 0.000 0.000 0.000 1
Rb2 Rb 0.500 0.500 0.000 1
Ca1 Ca 0.151 0.349 0.500 1
Ca2 Ca 0.349 0.849 0.500 1
Ca3 Ca 0.651 0.151 0.500 1
Ca4 Ca 0.849 0.651 0.500 1
Ni1 Ni 0.103 0.603 0.000 1
Ni2 Ni 0.397 0.103 0.000 1
Ni3 Ni 0.603 0.897 0.000 1
Ni4 Ni 0.897 0.397 0.000 1
```

=====

[8]
CaNi2S5: computed powder diffraction line list (Cu Ka), based on a DFT-relaxed cell (PBE, Alexandria).

Principal peaks in the range 10° ≤ 2θ ≤ 90°, in order of rising 2θ:
d/Å  2θ/deg  I (rel.)
6.944  12.7  100
4.761  18.6  50
3.731  23.9  28
3.395  26.2  31
3.286  27.1  30
2.959  30.2  15
2.409  37.3  37
2.227  40.5  20
1.946  46.7  21
1.637  56.2  23

Atomic structure:
```
data_CaNi2S5
_cell_length_a 3.892
_cell_length_b 13.082
_cell_length_c 6.944
_cell_angle_alpha 90.00
_cell_angle_beta 90.00
_cell_angle_gamma 90.00
_space_group_name_H-M_alt 'P 1'
_space_group_IT_number 1
_space_group_name_Hall 'P 1'
loop_
_atom_site_label
_atom_site_type_symbol
_atom_site_fract_x
_atom_site_fract_y
_atom_site_fract_z
_atom_site_occupancy
Ca1 Ca 0.250 0.250 0.085 1
Ca2 Ca 0.750 0.750 0.915 1
Ni1 Ni 0.250 0.602 0.472 1
Ni2 Ni 0.250 0.898 0.472 1
Ni3 Ni 0.750 0.102 0.528 1
Ni4 Ni 0.750 0.398 0.528 1
S1 S 0.250 0.060 0.387 1
S2 S 0.250 0.440 0.387 1
S3 S 0.250 0.670 0.174 1
S4 S 0.250 0.750 0.628 1
S5 S 0.250 0.830 0.174 1
S6 S 0.750 0.170 0.826 1
S7 S 0.750 0.250 0.372 1
S8 S 0.750 0.330 0.826 1
S9 S 0.750 0.560 0.613 1
S10 S 0.750 0.940 0.613 1
```